Starting from the PBE geometry in Alexandria, the powder XRD pattern of GdBN2 was calculated for Cu Kα X-rays.
Neutral-atom scattering factors, no anomalous dispersion.

a = 7.256 Å, b = 7.256 Å, c = 7.256 Å
α = 110.74°, β = 110.74°, γ = 110.74°
Fractional coordinates of all 24 atoms:
Gd: 0.203 0.750 0.297
Gd: 0.250 0.703 0.797
Gd: 0.297 0.203 0.750
Gd: 0.703 0.797 0.250
Gd: 0.750 0.297 0.203
Gd: 0.797 0.250 0.703
B: 0.129 0.250 0.371
B: 0.250 0.371 0.129
B: 0.371 0.129 0.250
B: 0.629 0.871 0.750
B: 0.750 0.629 0.871
B: 0.871 0.750 0.629
N: 0.005 0.250 0.495
N: 0.125 0.375 0.250
N: 0.250 0.125 0.375
N: 0.250 0.495 0.005
N: 0.375 0.250 0.125
N: 0.495 0.005 0.250
N: 0.505 0.995 0.750
N: 0.625 0.750 0.875
N: 0.750 0.505 0.995
N: 0.750 0.875 0.625
N: 0.875 0.625 0.750
N: 0.995 0.750 0.505

Peak list (12 most intense, 10° ≤ 2θ ≤ 90°, in order of rising 2θ)
- 2θ = 14.8°, d = 5.970 Å, I 70
- 2θ = 26.3°, d = 3.387 Å, I 33
- 2θ = 29.9°, d = 2.985 Å, I 51
- 2θ = 31.5°, d = 2.837 Å, I 100
- 2θ = 33.9°, d = 2.642 Å, I 83
- 2θ = 41.2°, d = 2.190 Å, I 21
- 2θ = 42.7°, d = 2.116 Å, I 19
- 2θ = 44.0°, d = 2.056 Å, I 19
- 2θ = 51.0°, d = 1.791 Å, I 39
- 2θ = 57.7°, d = 1.598 Å, I 27
- 2θ = 62.1°, d = 1.494 Å, I 21
- 2θ = 64.6°, d = 1.443 Å, I 22

=====

Starting from the PBE geometry in Alexandria, the powder XRD pattern of Sr3Ga4Ge4 was calculated for Cu Kα X-rays.
Neutral-atom scattering factors, no anomalous dispersion.

a = 4.320 Å, b = 4.897 Å, c = 12.999 Å
α = 80.63°, β = 80.45°, γ = 90.00°
Fractional coordinates of all 11 atoms:
Sr: 0.000 0.000 0.000
Sr: 0.354 0.876 0.291
Sr: 0.646 0.124 0.709
Ga: 0.095 0.508 0.810
Ga: 0.246 0.256 0.507
Ga: 0.754 0.744 0.493
Ga: 0.905 0.492 0.190
Ge: 0.195 0.699 0.610
Ge: 0.452 0.382 0.097
Ge: 0.548 0.618 0.903
Ge: 0.805 0.301 0.390

Peak list (12 most intense, 10° ≤ 2θ ≤ 90°, in order of rising 2θ)
- 2θ = 28.6°, d = 3.125 Å, I 26
- 2θ = 30.4°, d = 2.944 Å, I 47
- 2θ = 30.8°, d = 2.903 Å, I 38
- 2θ = 31.2°, d = 2.864 Å, I 100
- 2θ = 36.7°, d = 2.448 Å, I 40
- 2θ = 38.2°, d = 2.355 Å, I 24
- 2θ = 41.8°, d = 2.160 Å, I 39
- 2θ = 44.7°, d = 2.029 Å, I 29
- 2θ = 45.9°, d = 1.978 Å, I 18
- 2θ = 51.0°, d = 1.792 Å, I 12
- 2θ = 52.5°, d = 1.742 Å, I 20
- 2θ = 56.9°, d = 1.620 Å, I 23

=====

Starting from the PBE geometry in Alexandria, the powder XRD pattern of PmHoMgRu was calculated for Cu Kα X-rays.
Neutral-atom scattering factors, no anomalous dispersion.

a = 3.431 Å, b = 3.431 Å, c = 8.522 Å
α = 90.00°, β = 90.00°, γ = 90.00°
Fractional coordinates of all 4 atoms:
Pm: 0.000 0.000 0.000
Ho: 0.000 0.000 0.605
Mg: 0.500 0.500 0.310
Ru: 0.500 0.500 0.793

Peak list (12 most intense, 10° ≤ 2θ ≤ 90°, in order of rising 2θ)
- 2θ = 10.4°, d = 8.522 Å, I 90
- 2θ = 26.0°, d = 3.431 Å, I 22
- 2θ = 33.5°, d = 2.672 Å, I 100
- 2θ = 37.1°, d = 2.426 Å, I 53
- 2θ = 38.6°, d = 2.334 Å, I 16
- 2θ = 41.3°, d = 2.188 Å, I 46
- 2θ = 49.4°, d = 1.845 Å, I 8
- 2θ = 53.4°, d = 1.716 Å, I 18
- 2θ = 64.5°, d = 1.444 Å, I 30
- 2θ = 67.1°, d = 1.395 Å, I 14
- 2θ = 69.6°, d = 1.350 Å, I 19
- 2θ = 79.2°, d = 1.209 Å, I 9

=====

Starting from the PBE geometry in Alexandria, the powder XRD pattern of LiHo3Pu3S8 was calculated for Cu Kα X-rays.
Neutral-atom scattering factors, no anomalous dispersion.

a = 7.802 Å, b = 7.802 Å, c = 7.803 Å
α = 119.90°, β = 119.90°, γ = 60.01°
Fractional coordinates of all 15 atoms:
Li: 0.000 0.000 0.000
Ho: 0.000 0.500 0.000
Ho: 0.500 0.000 0.000
Ho: 0.500 0.500 0.000
Pu: 0.000 0.000 0.500
Pu: 0.000 0.500 0.500
Pu: 0.500 0.000 0.500
S: 0.244 0.750 0.240
S: 0.246 0.246 0.244
S: 0.250 0.756 0.760
S: 0.252 0.252 0.755
S: 0.748 0.748 0.245
S: 0.750 0.244 0.240
S: 0.754 0.754 0.756
S: 0.756 0.250 0.760

Peak list (12 most intense, 10° ≤ 2θ ≤ 90°, in order of rising 2θ)
- 2θ = 16.1°, d = 5.520 Å, I 39
- 2θ = 22.8°, d = 3.903 Å, I 34
- 2θ = 28.0°, d = 3.187 Å, I 77
- 2θ = 32.4°, d = 2.760 Å, I 100
- 2θ = 36.4°, d = 2.469 Å, I 21
- 2θ = 40.0°, d = 2.254 Å, I 14
- 2θ = 46.5°, d = 1.952 Å, I 73
- 2θ = 55.2°, d = 1.665 Å, I 23
- 2θ = 55.2°, d = 1.663 Å, I 16
- 2θ = 57.8°, d = 1.594 Å, I 19
- 2θ = 77.3°, d = 1.234 Å, I 22
- 2θ = 86.3°, d = 1.127 Å, I 13

=====

Starting from the PBE geometry in Alexandria, the powder XRD pattern of La2Pm6Th3 was calculated for Cu Kα X-rays.
Neutral-atom scattering factors, no anomalous dispersion.

a = 6.388 Å, b = 6.388 Å, c = 11.542 Å
α = 93.46°, β = 93.46°, γ = 122.91°
Fractional coordinates of all 11 atoms:
La: 0.143 0.857 0.000
La: 0.857 0.143 0.000
Pm: 0.101 0.101 0.267
Pm: 0.249 0.570 0.758
Pm: 0.430 0.751 0.242
Pm: 0.570 0.249 0.758
Pm: 0.751 0.430 0.242
Pm: 0.899 0.899 0.733
Th: 0.172 0.828 0.500
Th: 0.500 0.500 0.500
Th: 0.828 0.172 0.500

Peak list (12 most intense, 10° ≤ 2θ ≤ 90°, in order of rising 2θ)
- 2θ = 28.6°, d = 3.120 Å, I 24
- 2θ = 29.5°, d = 3.028 Å, I 24
- 2θ = 31.2°, d = 2.863 Å, I 100
- 2θ = 31.5°, d = 2.840 Å, I 17
- 2θ = 33.1°, d = 2.706 Å, I 53
- 2θ = 35.4°, d = 2.533 Å, I 12
- 2θ = 38.0°, d = 2.368 Å, I 11
- 2θ = 48.7°, d = 1.870 Å, I 10
- 2θ = 51.1°, d = 1.786 Å, I 10
- 2θ = 54.4°, d = 1.687 Å, I 13
- 2θ = 58.0°, d = 1.591 Å, I 21
- 2θ = 59.0°, d = 1.566 Å, I 11

=====

Starting from the PBE geometry in Alexandria, the powder XRD pattern of NaLi4As2 was calculated for Cu Kα X-rays.
Neutral-atom scattering factors, no anomalous dispersion.

a = 7.610 Å, b = 7.610 Å, c = 4.398 Å
α = 90.00°, β = 90.00°, γ = 90.00°
Fractional coordinates of all 14 atoms:
Na: 0.000 0.000 0.000
Na: 0.500 0.500 0.500
Li: 0.104 0.342 0.500
Li: 0.158 0.604 0.000
Li: 0.342 0.104 0.500
Li: 0.396 0.842 0.000
Li: 0.604 0.158 0.000
Li: 0.658 0.896 0.500
Li: 0.842 0.396 0.000
Li: 0.896 0.658 0.500
As: 0.226 0.774 0.500
As: 0.274 0.274 0.000
As: 0.726 0.726 0.000
As: 0.774 0.226 0.500

Peak list (12 most intense, 10° ≤ 2θ ≤ 90°, in order of rising 2θ)
- 2θ = 23.4°, d = 3.805 Å, I 48
- 2θ = 26.2°, d = 3.405 Å, I 100
- 2θ = 33.3°, d = 2.691 Å, I 46
- 2θ = 41.1°, d = 2.198 Å, I 24
- 2θ = 42.8°, d = 2.111 Å, I 54
- 2θ = 47.8°, d = 1.903 Å, I 25
- 2θ = 49.4°, d = 1.846 Å, I 10
- 2θ = 53.9°, d = 1.702 Å, I 22
- 2θ = 64.8°, d = 1.438 Å, I 13
- 2θ = 66.1°, d = 1.414 Å, I 22
- 2θ = 69.9°, d = 1.346 Å, I 17
- 2θ = 76.0°, d = 1.252 Å, I 19

=====

Starting from the PBE geometry in Alexandria, the powder XRD pattern of Sm3YRh was calculated for Cu Kα X-rays.
Neutral-atom scattering factors, no anomalous dispersion.

a = 6.390 Å, b = 6.390 Å, c = 13.998 Å
α = 114.04°, β = 114.04°, γ = 34.61°
Fractional coordinates of all 10 atoms:
Sm: 0.000 0.000 0.000
Sm: 0.009 0.009 0.359
Sm: 0.344 0.344 0.474
Sm: 0.452 0.452 0.754
Sm: 0.661 0.661 0.238
Sm: 0.673 0.673 0.600
Y: 0.220 0.220 0.846
Y: 0.327 0.327 0.121
Rh: 0.012 0.012 0.632
Rh: 0.662 0.662 0.969

Peak list (12 most intense, 10° ≤ 2θ ≤ 90°, in order of rising 2θ)
- 2θ = 30.2°, d = 2.957 Å, I 43
- 2θ = 30.3°, d = 2.946 Å, I 100
- 2θ = 31.7°, d = 2.821 Å, I 68
- 2θ = 32.0°, d = 2.798 Å, I 30
- 2θ = 32.4°, d = 2.761 Å, I 53
- 2θ = 33.9°, d = 2.644 Å, I 75
- 2θ = 34.1°, d = 2.633 Å, I 33
- 2θ = 47.9°, d = 1.900 Å, I 35
- 2θ = 57.6°, d = 1.600 Å, I 17
- 2θ = 58.0°, d = 1.590 Å, I 16
- 2θ = 58.3°, d = 1.582 Å, I 33
- 2θ = 58.5°, d = 1.577 Å, I 27

=====

Starting from the PBE geometry in Alexandria, the powder XRD pattern of LuPu3 was calculated for Cu Kα X-rays.
Neutral-atom scattering factors, no anomalous dispersion.

a = 4.779 Å, b = 4.779 Å, c = 4.779 Å
α = 90.00°, β = 90.00°, γ = 90.00°
Fractional coordinates of all 4 atoms:
Lu: 0.000 0.000 0.000
Pu: 0.000 0.500 0.500
Pu: 0.500 0.000 0.500
Pu: 0.500 0.500 0.000

Peak list (11 most intense, 10° ≤ 2θ ≤ 90°, in order of rising 2θ)
- 2θ = 18.6°, d = 4.779 Å, I 1
- 2θ = 26.4°, d = 3.379 Å, I 1
- 2θ = 32.5°, d = 2.759 Å, I 100
- 2θ = 37.6°, d = 2.389 Å, I 51
- 2θ = 42.3°, d = 2.137 Å, I 1
- 2θ = 46.6°, d = 1.951 Å, I 1
- 2θ = 54.3°, d = 1.690 Å, I 36
- 2θ = 64.7°, d = 1.441 Å, I 43
- 2θ = 68.0°, d = 1.379 Å, I 12
- 2θ = 80.4°, d = 1.195 Å, I 6
- 2θ = 89.4°, d = 1.096 Å, I 19

=====

> Number 5 is which compound?

La2Pm6Th3